[1]
Theoretical X-ray powder pattern
Compound: Ca2Mo3O8
Radiation: Cu Kα
Structure: the PBE+U geometry in Alexandria
Peak positions follow from Bragg's law for the DFT cell and can differ from measured ones.

Main lines, by intensity (15° ≤ 2θ ≤ 90°):
index, 2theta, d/Å, I (rel.)
0 0 2, 17.1, 5.183, 100
2 0 1, 33.2, 2.698, 82
2 0 5, 55.2, 1.665, 43
1 1 2, 32.7, 2.739, 42
2 0 3, 41.6, 2.173, 40
2 2 0, 57.1, 1.613, 34
1 0 3, 30.4, 2.939, 33
1 0 2, 23.4, 3.800, 32
1 0 1, 18.0, 4.920, 30
2 0 2, 36.5, 2.460, 23
2 0 0, 32.0, 2.795, 21
2 1 3, 50.6, 1.802, 21

Atomic structure:
abc: 6.4539 6.4539 10.3662
angles: 90.00 90.00 120.00
Space group P6_3mc (No. 186)
Symmetry-distinct sites (fractional):
Ca 0.3333 0.6667 0.0000
Ca 0.3333 0.6667 0.3884
Mo 0.1640 0.3280 0.7172
O 0.0000 0.0000 0.3205
O 0.0506 0.5253 0.8271
O 0.1606 0.3213 0.1288
O 0.3333 0.6667 0.6088

[2]
Theoretical X-ray powder pattern
Compound: Ca2Mo2O5
Radiation: Cu Kα
Structure: the PBE+U geometry in Alexandria
Peak positions follow from Bragg's law for the DFT cell and can differ from measured ones.

Main lines, by intensity (15° ≤ 2θ ≤ 90°):
index, 2theta, d/Å, I (rel.)
1 2 1, 32.1, 2.787, 100
1 2 0, 22.8, 3.905, 38
0 4 0, 32.7, 2.737, 32
0 0 2, 45.6, 1.990, 26
2 3 0, 40.7, 2.214, 25
0 0 1, 22.3, 3.981, 23
1 1 1, 28.7, 3.106, 21
3 1 1, 55.2, 1.664, 21
2 1 0, 33.2, 2.700, 16
1 3 1, 37.1, 2.422, 16
1 4 0, 36.6, 2.457, 15
2 4 0, 46.5, 1.952, 13

Atomic structure:
abc: 5.5718 10.9475 3.9807
angles: 90.00 90.00 90.00
Space group Pbam (No. 55)
Symmetry-distinct sites (fractional):
Ca 0.1647 0.1408 0.0000
Mo 0.1752 0.3961 0.5000
O 0.0000 0.0000 0.5000
O 0.1145 0.7079 0.5000
O 0.2309 0.3810 0.0000

[3]
Theoretical X-ray powder pattern
Compound: CaMo2O5
Radiation: Cu Kα
Structure: the PBE+U geometry in Alexandria
Peak positions follow from Bragg's law for the DFT cell and can differ from measured ones.

Main lines, by intensity (15° ≤ 2θ ≤ 90°):
index, 2theta, d/Å, I (rel.)
0 0 1, 17.1, 5.174, 100
1 1 1, 31.1, 2.879, 65
1 3 0, 32.3, 2.772, 55
0 4 1, 32.4, 2.762, 46
0 2 1, 21.9, 4.056, 41
1 3 2, 48.1, 1.891, 33
1 1 0, 25.7, 3.465, 32
1 7 1, 58.5, 1.577, 30
0 0 2, 34.7, 2.587, 30
0 4 0, 27.3, 3.266, 26
2 0 0, 50.8, 1.797, 20
1 3 1, 36.8, 2.443, 17

Atomic structure:
abc: 3.5934 13.0636 5.1739
angles: 90.00 90.00 90.00
Space group Pmmn (No. 59, origin choice 2)
Symmetry-distinct sites (fractional):
Ca 0.2500 0.2500 0.0606
Mo 0.2500 0.6049 0.4625
O 0.2500 0.0667 0.3898
O 0.2500 0.6401 0.1156
O 0.2500 0.7500 0.6216

[4]
Theoretical X-ray powder pattern
Compound: Ca3MoO6
Radiation: Cu Kα
Structure: the PBE+U geometry in Alexandria
Peak positions follow from Bragg's law for the DFT cell and can differ from measured ones.

Main lines, by intensity (15° ≤ 2θ ≤ 90°):
index, 2theta, d/Å, I (rel.)
2 2 0, 30.6, 2.920, 100
4 0 0, 43.8, 2.065, 48
4 2 2, 54.4, 1.686, 36
2 0 0, 21.5, 4.130, 28
1 1 1, 18.6, 4.769, 27
4 4 0, 63.7, 1.460, 26
6 4 2, 88.6, 1.104, 19
6 2 0, 72.4, 1.306, 16
4 2 0, 49.3, 1.847, 10
3 1 1, 36.1, 2.490, 9
4 4 4, 80.6, 1.192, 8
5 1 1, 58.0, 1.590, 5

Atomic structure:
abc: 8.2596 8.2596 8.2596
angles: 90.00 90.00 90.00
Space group Fm-3m (No. 225)
Symmetry-distinct sites (fractional):
Ca 0.0000 0.0000 0.0000
Ca 0.2500 0.2500 0.2500
Mo 0.0000 0.0000 0.5000
O 0.0000 0.0000 0.2667

[5]
Theoretical X-ray powder pattern
Compound: CaMo2P2O10
Radiation: Cu Kα
Structure: the PBE+U geometry in Alexandria
Peak positions follow from Bragg's law for the DFT cell and can differ from measured ones.

Main lines, by intensity (15° ≤ 2θ ≤ 90°):
index, 2theta, d/Å, I (rel.)
2 2 2, 29.9, 2.989, 100
1 1 5, 31.0, 2.884, 58
1 3 1, 25.4, 3.505, 55
1 1 3, 21.5, 4.127, 30
2 2 6, 43.9, 2.064, 25
2 2 0, 27.7, 3.219, 19
0 0 4, 22.0, 4.033, 19
4 0 4, 53.5, 1.713, 18
3 3 5, 51.1, 1.787, 18
2 6 2, 52.2, 1.753, 18
0 4 4, 36.8, 2.440, 17
1 5 1, 39.1, 2.305, 14

Atomic structure:
abc: 7.5703 12.2385 16.1314
angles: 90.00 90.00 90.00
Space group Fddd (No. 70, origin choice 2)
Symmetry-distinct sites (fractional):
Ca 0.1250 0.1250 0.1250
Mo 0.0000 0.0000 0.5000
P 0.1250 0.1250 0.3294
O 0.0355 0.3620 0.5209
O 0.1016 0.0222 0.8643
O 0.1250 0.1250 0.5414

[6]
Theoretical X-ray powder pattern
Compound: CaPrMo2O6
Radiation: Cu Kα
Structure: the PBE+U geometry in Alexandria
Peak positions follow from Bragg's law for the DFT cell and can differ from measured ones.

Main lines, by intensity (15° ≤ 2θ ≤ 90°):
index, 2theta, d/Å, I (rel.)
1 1 -3, 31.5, 2.843, 100
1 1 1, 31.3, 2.859, 99
0 2 0, 30.3, 2.950, 46
2 0 -2, 32.0, 2.799, 46
2 2 -2, 44.6, 2.031, 46
3 1 -5, 56.8, 1.622, 35
0 0 4, 45.3, 2.002, 27
0 1 1, 18.7, 4.750, 25
3 1 -1, 56.4, 1.630, 23
0 2 4, 55.5, 1.656, 20
1 3 -2, 50.5, 1.808, 17
1 0 0, 19.3, 4.604, 15

Atomic structure:
abc: 5.5983 5.9003 9.7364
angles: 90.00 124.67 90.00
Space group Pc (No. 7)
Symmetry-distinct sites (fractional):
Ca 0.0000 0.1956 0.0000
Pr 0.5317 0.3080 0.4994
Mo 0.2656 0.2484 0.7499
Mo 0.7641 0.2462 0.2490
O 0.0098 0.4428 0.1976
O 0.1159 0.1998 0.4922
O 0.4128 0.2953 0.0068
O 0.5177 0.0559 0.3010
O 0.6334 0.4524 0.8104
O 0.8959 0.0513 0.6892

[7]
Theoretical X-ray powder pattern
Compound: Ca2PuMoO6
Radiation: Cu Kα
Structure: the PBE+U geometry in Alexandria
Peak positions follow from Bragg's law for the DFT cell and can differ from measured ones.

Main lines, by intensity (15° ≤ 2θ ≤ 90°):
index, 2theta, d/Å, I (rel.)
1 1 1, 29.9, 2.991, 100
1 1 0, 21.2, 4.200, 71
2 0 0, 30.1, 2.970, 55
0 0 1, 20.9, 4.260, 47
3 1 1, 53.3, 1.719, 40
2 2 0, 43.1, 2.100, 37
1 1 2, 47.9, 1.900, 30
3 1 2, 66.4, 1.409, 22
2 2 1, 48.3, 1.883, 20
1 0 1, 25.7, 3.461, 19
2 0 2, 52.9, 1.731, 17
3 1 0, 48.5, 1.878, 16

Atomic structure:
abc: 5.9392 5.9392 4.2596
angles: 90.00 90.00 90.00
Space group P4mm (No. 99)
Symmetry-distinct sites (fractional):
Ca 0.0000 0.5000 0.0000
Pu 0.0000 0.0000 0.6288
Mo 0.5000 0.5000 0.6482
O 0.0000 0.0000 0.1391
O 0.2539 0.2539 0.6981
O 0.5000 0.5000 0.1639

[8]
Theoretical X-ray powder pattern
Compound: CaMoRhO6
Radiation: Cu Kα
Structure: the PBE+U geometry in Alexandria
Peak positions follow from Bragg's law for the DFT cell and can differ from measured ones.

Main lines, by intensity (15° ≤ 2θ ≤ 90°):
index, 2theta, d/Å, I (rel.)
1 0 1, 26.4, 3.371, 100
0 0 1, 17.6, 5.026, 70
2 -1 2, 50.3, 1.815, 61
2 -1 1, 38.7, 2.326, 47
1 1 0, 34.2, 2.624, 45
1 0 0, 19.5, 4.545, 24
2 0 1, 43.7, 2.071, 22
3 -1 1, 56.6, 1.625, 22
3 0 0, 61.2, 1.515, 20
2 2 2, 83.0, 1.163, 12
1 1 3, 66.2, 1.412, 12
3 0 1, 64.2, 1.450, 11

Atomic structure:
abc: 5.2479 5.2479 5.0258
angles: 90.00 90.00 120.00
Space group P312 (No. 149)
Symmetry-distinct sites (fractional):
Ca 0.0000 0.0000 0.0000
Mo 0.3333 0.6667 0.5000
Rh 0.6667 0.3333 0.5000
O 0.0091 0.3722 0.7141